For YV3Se2ClO8, a GGA+U-relaxed structure gives the simulated powder diffraction line list in this record (Cu Kα).

Most intense lines, 2θ = 15–90°, low angle first:
(hkl)	2theta	d (Å)	I_rel
0 1 1	16.1	5.502	615
1 1 -2	25.4	3.513	733
0 2 0	26.9	3.310	752
2 1 0	28.1	3.174	628
1 2 0	29.7	3.010	746
2 0 -2	30.1	2.965	738
0 1 3	30.3	2.951	1000
2 0 2	31.1	2.876	514
1 1 3	33.1	2.706	753
1 2 -2	34.7	2.587	532
1 2 2	35.1	2.556	619
2 2 -4	52.1	1.757	468

Atomic structure:
Lattice parameters (Å, degrees): 7.2378 6.6206 9.8958 90.00 91.82 90.00
Space group P2_1/m (No. 11)
Inequivalent atoms, fractional coordinates:
Y 0.2319 0.2500 0.2411 x2
V 0.2962 0.7500 0.7420 x2
V 0.5000 0.0000 0.0000 x2
V 0.5000 0.0000 0.5000 x2
Se 0.0853 0.7500 0.0535 x2
Se 0.0897 0.7500 0.4285 x2
Cl 0.3713 0.2500 0.8134 x2
O 0.0711 0.7500 0.8759 x2
O 0.0764 0.7500 0.6048 x2
O 0.2287 0.5434 0.0843 x4
O 0.2343 0.5450 0.4026 x4
O 0.4840 0.2500 0.3902 x2
O 0.4891 0.2500 0.1275 x2